For CeTe2Pd9, a structure optimized by DFT (GGA-PBE) gives the computed X-ray powder pattern in this record (Cu Kα, 1.54184 Å).
Intensities are scaled so that the largest is 100.

Principal peaks in the range 15° ≤ 2θ ≤ 90°, sorted by position:
- 2θ = 21.58°, d = 4.118 Å, I = 1
- 2θ = 37.84°, d = 2.377 Å, I = 100
- 2θ = 43.98°, d = 2.059 Å, I = 49
- 2θ = 63.95°, d = 1.456 Å, I = 31
- 2θ = 76.72°, d = 1.242 Å, I = 24
- 2θ = 76.86°, d = 1.240 Å, I = 12
- 2θ = 80.87°, d = 1.189 Å, I = 10

Cell and atoms:
Cell lengths 4.1205, 4.1205, 12.3357 Å; angles 90.00, 90.00, 90.00 degrees
Positions (direct):
Ce  0.0000  0.0000  0.0000
Te  0.0000  0.0000  0.3424
Te  0.0000  0.0000  0.6576
Pd  0.0000  0.5000  0.1637
Pd  0.0000  0.5000  0.5000
Pd  0.0000  0.5000  0.8363
Pd  0.5000  0.0000  0.1637
Pd  0.5000  0.0000  0.5000
Pd  0.5000  0.0000  0.8363
Pd  0.5000  0.5000  0.0000
Pd  0.5000  0.5000  0.3299
Pd  0.5000  0.5000  0.6701